For GaAg8, a PBE-relaxed structure gives the calculated powder XRD pattern in this record (Cu Kα).
Lines closer than 0.1° are merged.

The 10 most intense peaks (2θ from 10° to 90°), by angle:
- hkl 1 1 9, d = 2.530 Å, rel. 60
- hkl 3 1 -3, d = 2.397 Å, rel. 100
- hkl 1 1 10, d = 2.383 Å, rel. 100
- hkl 3 1 -4, d = 2.349 Å, rel. 61
- hkl 2 0 -13, d = 2.117 Å, rel. 34
- hkl 4 0 6, d = 2.102 Å, rel. 26
- hkl 0 2 0, d = 2.053 Å, rel. 33
- hkl 0 2 1, d = 2.049 Å, rel. 24
- hkl 4 0 7, d = 2.041 Å, rel. 27
- hkl 2 2 -13, d = 1.475 Å, rel. 28

Structural model:
```
data_GaAg8
_space_group_name_H-M_alt 'C 1 2/m 1'
_space_group_IT_number 12
_cell_length_a 9.2301
_cell_length_b 4.1063
_cell_length_c 30.8954
_cell_angle_alpha 90.00
_cell_angle_beta 90.30
_cell_angle_gamma 90.00
loop_
_space_group_symop_operation_xyz
'x,y,z'
'-x,-y,-z'
'-x,y,-z'
'x,-y,z'
'x+1/2,y+1/2,z'
'-x+1/2,-y+1/2,-z'
'-x+1/2,y+1/2,-z'
'x+1/2,-y+1/2,z'
loop_
_atom_site_label
_atom_site_type_symbol
_atom_site_fract_x
_atom_site_fract_y
_atom_site_fract_z
Ga1 Ga 0.0512 0.0000 0.2494
Ag1 Ag 0.0500 0.0000 0.5457
Ag2 Ag 0.0502 0.5000 0.3928
Ag3 Ag 0.0528 0.5000 0.7003
Ag4 Ag 0.1473 0.0000 0.6376
Ag5 Ag 0.1495 0.5000 0.4843
Ag6 Ag 0.1543 0.0000 0.3343
Ag7 Ag 0.2479 0.5000 0.2679
Ag8 Ag 0.2487 0.5000 0.5755
```